(1)
Calculated XRD peak list of ThZr2Sn for a wavelength of 1.5418 Å, from a structure optimized by DFT (GGA-PBE).

Structural model:
```
data_ThZr2Sn
_chemical_formula_sum 'Th4 Zr8 Sn4'
_cell_length_a 4.3991
_cell_length_b 22.0528
_cell_length_c 4.4054
_cell_angle_alpha 90.00
_cell_angle_beta 90.00
_cell_angle_gamma 90.00
_space_group_name_H-M_alt 'C m c m'
_space_group_IT_number 63
_space_group_name_Hall '-C 2c 2'
loop_
_atom_site_label
_atom_site_type_symbol
_atom_site_fract_x
_atom_site_fract_y
_atom_site_fract_z
Th1 Th 0.0000 0.1958 0.2500
Zr1 Zr 0.0000 0.0520 0.7500
Zr2 Zr 0.0000 0.4482 0.7500
Sn1 Sn 0.0000 0.3461 0.2500
```

The 8 most intense peaks (2θ = 10–90°), by angle:
2theta  I/Imax
28.97  92
31.20  72
31.70  38
32.48  34
35.29  100
40.97  43
41.03  41
53.26  33

***

(2)
Calculated XRD peak list of Ti2Sn3 for a wavelength of 1.5418 Å, from a structure optimized by DFT (GGA-PBE).

Structural model:
```
data_Ti2Sn3
_chemical_formula_sum 'Ti16 Sn24'
_cell_length_a 5.9822
_cell_length_b 20.0603
_cell_length_c 7.0557
_cell_angle_alpha 90.00
_cell_angle_beta 90.00
_cell_angle_gamma 90.00
_space_group_name_H-M_alt 'C m c e'
_space_group_IT_number 64
_space_group_name_Hall '-C 2ac 2'
loop_
_atom_site_label
_atom_site_type_symbol
_atom_site_fract_x
_atom_site_fract_y
_atom_site_fract_z
Ti1 Ti 0.0000 0.0807 0.0458
Ti2 Ti 0.2500 0.1634 0.7500
Sn1 Sn 0.0000 0.1213 0.4259
Sn2 Sn 0.0000 0.2242 0.0732
Sn3 Sn 0.2500 0.0202 0.7500
```

The 8 most intense peaks (2θ = 10–90°), by angle:
2theta  I/Imax
29.63  40
31.20  29
32.36  29
33.75  36
37.06  100
39.35  33
39.50  60
40.47  34

***

(3)
Calculated XRD peak list of Ti5Sn6 for a wavelength of 1.5418 Å, from a structure optimized by DFT (GGA-PBE).

Structural model:
```
data_Ti5Sn6
_chemical_formula_sum 'Ti10 Sn12'
_cell_length_a 4.3402
_cell_length_b 13.0019
_cell_length_c 8.1683
_cell_angle_alpha 90.00
_cell_angle_beta 90.00
_cell_angle_gamma 90.00
_space_group_name_H-M_alt 'C m m m'
_space_group_IT_number 65
_space_group_name_Hall '-C 2 2'
loop_
_atom_site_label
_atom_site_type_symbol
_atom_site_fract_x
_atom_site_fract_y
_atom_site_fract_z
Ti1 Ti 0.0000 0.0000 0.0000
Ti2 Ti 0.0000 0.3283 0.5000
Ti3 Ti 0.0000 0.3372 0.0000
Sn1 Sn 0.0000 0.1651 0.2504
Sn2 Sn 0.0000 0.5000 0.2635
```

The 8 most intense peaks (2θ = 10–90°), by angle:
2theta  I/Imax
21.76  23
29.12  23
36.64  100
41.65  35
44.36  14
47.47  13
62.47  21
72.73  27

***

(4)
Calculated XRD peak list of TiSn4 for a wavelength of 1.5418 Å, from a structure optimized by DFT (GGA-PBE).

Structural model:
```
data_TiSn4
_chemical_formula_sum 'Ti1 Sn4'
_cell_length_a 5.3121
_cell_length_b 5.3121
_cell_length_c 5.3121
_cell_angle_alpha 90.00
_cell_angle_beta 90.00
_cell_angle_gamma 90.00
_space_group_name_H-M_alt 'P m -3 m'
_space_group_IT_number 221
_space_group_name_Hall '-P 4 2 3'
loop_
_atom_site_label
_atom_site_type_symbol
_atom_site_fract_x
_atom_site_fract_y
_atom_site_fract_z
Ti1 Ti 0.0000 0.0000 0.0000
Sn1 Sn 0.0000 0.0000 0.5000
Sn2 Sn 0.5000 0.5000 0.5000
```

The 8 most intense peaks (2θ = 10–90°), by angle:
2theta  I/Imax
29.12  100
33.75  76
48.47  56
57.54  47
60.36  20
70.97  9
78.48  21
80.94  27

***

(5)
Calculated XRD peak list of Ti5Sn2 for a wavelength of 1.5418 Å, from a structure optimized by DFT (GGA-PBE).

Structural model:
```
data_Ti5Sn2
_chemical_formula_sum 'Ti10 Sn4'
_cell_length_a 9.7653
_cell_length_b 3.7803
_cell_length_c 6.9493
_cell_angle_alpha 90.00
_cell_angle_beta 96.09
_cell_angle_gamma 90.00
_space_group_name_H-M_alt 'C 1 2/m 1'
_space_group_IT_number 12
_space_group_name_Hall '-C 2y'
loop_
_atom_site_label
_atom_site_type_symbol
_atom_site_fract_x
_atom_site_fract_y
_atom_site_fract_z
Ti1 Ti 0.0000 0.0000 0.0000
Ti2 Ti 0.1450 0.0000 0.4233
Ti3 Ti 0.2081 0.5000 0.1357
Sn1 Sn 0.0785 0.5000 0.7223
```

The 8 most intense peaks (2θ = 10–90°), by angle:
2theta  I/Imax
25.28  20
37.14  100
37.84  96
40.68  38
41.58  36
48.14  24
64.81  18
72.55  26

***

(6)
Calculated XRD peak list of Ti13Sn3 for a wavelength of 1.5418 Å, from a structure optimized by DFT (GGA-PBE).

Structural model:
```
data_Ti13Sn3
_chemical_formula_sum 'Ti26 Sn6'
_cell_length_a 9.4365
_cell_length_b 5.7505
_cell_length_c 10.5042
_cell_angle_alpha 90.00
_cell_angle_beta 90.00
_cell_angle_gamma 90.00
_space_group_name_H-M_alt 'A m m 2'
_space_group_IT_number 38
_space_group_name_Hall 'A 2 -2'
loop_
_atom_site_label
_atom_site_type_symbol
_atom_site_fract_x
_atom_site_fract_y
_atom_site_fract_z
Ti1 Ti 0.0000 0.0000 0.0000
Ti2 Ti 0.0000 0.0000 0.5129
Ti3 Ti 0.0000 0.2442 0.2696
Ti4 Ti 0.2420 0.0000 0.1596
Ti5 Ti 0.2464 0.2444 0.4130
Ti6 Ti 0.5000 0.0000 0.5186
Ti7 Ti 0.5000 0.2440 0.2645
Sn1 Sn 0.2484 0.0000 0.6700
Sn2 Sn 0.5000 0.0000 0.0076
```

The 8 most intense peaks (2θ = 10–90°), by angle:
2theta  I/Imax
25.86  19
35.60  36
38.15  44
39.26  71
40.56  100
53.16  21
70.57  18
75.24  20